[1]
Diffraction record for Tb3Dy9Er2. The X-ray powder pattern is computed, not measured: it uses a PBE-relaxed structure and copper Kα.
Peak positions follow from Bragg's law for the DFT cell and can differ from measured ones.

Crystal structure
Unit cell a=6.4587 b=6.5429 c=11.4420 alpha=105.28 beta=104.16 gamma=94.78
Sites, in units of the cell vectors:
Tb1 0.0000 0.0000 0.0000
Tb2 0.3172 0.6628 0.5055
Tb3 0.6828 0.3372 0.4945
Dy1 0.0000 0.5000 0.0000
Dy2 0.0860 0.7193 0.7350
Dy3 0.2041 0.1976 0.5977
Dy4 0.2546 0.9210 0.2932
Dy5 0.4023 0.3837 0.2142
Dy6 0.5977 0.6163 0.7858
Dy7 0.7454 0.0790 0.7068
Dy8 0.7959 0.8024 0.4023
Dy9 0.9140 0.2807 0.2650
Er1 0.4572 0.1964 0.9189
Er2 0.5428 0.8036 0.0811

Peak list (12 most intense, 2θ from 10° to 80°, by angle)
- hkl 1 2 -1, 2θ 32.04, rel. 25
- hkl 1 -2 2, 2θ 32.26, rel. 100
- hkl 1 0 3, 2θ 32.47, rel. 16
- hkl 1 1 -4, 2θ 32.62, rel. 52
- hkl -2 1 2, 2θ 32.72, rel. 35
- hkl 0 0 4, 2θ 33.81, rel. 6
- hkl 3 1 -3, 2θ 46.52, rel. 9
- hkl 2 2 2, 2θ 53.88, rel. 10
- hkl 3 -2 3, 2θ 57.71, rel. 10
- hkl 3 -3 0, 2θ 57.81, rel. 7
- hkl -2 2 5, 2θ 58.48, rel. 7
- hkl 3 0 -6, 2θ 58.60, rel. 11

---

[2]
Diffraction record for Tb3Dy4Er5. The X-ray powder pattern is computed, not measured: it uses a PBE-relaxed structure and copper Kα.
Peak positions follow from Bragg's law for the DFT cell and can differ from measured ones.

Crystal structure
Unit cell a=6.1004 b=7.0498 c=8.6214 alpha=90.00 beta=90.10 gamma=90.12
Sites, in units of the cell vectors:
Tb1 0.0000 0.0000 0.0000
Tb2 0.1667 0.7503 0.6670
Tb3 0.8333 0.2497 0.3330
Dy1 0.1669 0.2501 0.6669
Dy2 0.3331 0.5000 0.3327
Dy3 0.6669 0.5000 0.6673
Dy4 0.8331 0.7499 0.3331
Er1 0.0000 0.5000 0.0000
Er2 0.3340 0.9999 0.3326
Er3 0.4997 0.2498 0.9999
Er4 0.5003 0.7502 0.0001
Er5 0.6660 0.0001 0.6674

Peak list (10 most intense, 2θ from 10° to 80°, by angle)
- hkl 2 0 1, 2θ 31.10, rel. 100
- hkl 1 2 2, 2θ 36.06, rel. 51
- hkl 0 4 0, 2θ 51.89, rel. 24
- hkl 3 2 0, 2θ 51.98, rel. 12
- hkl 0 4 3, 2θ 61.74, rel. 28
- hkl 3 2 3, 2θ 61.83, rel. 14
- hkl -2 4 2, 2θ 64.73, rel. 3
- hkl 4 0 2, 2θ 64.88, rel. 9
- hkl 4 0 -4, 2θ 76.46, rel. 4
- hkl 2 4 4, 2θ 76.58, rel. 2